Entry 1:
Y5SiBi2: simulated PXRD pattern (Cu Kα X-rays), based on a PBE-relaxed structure.

Largest 10 diffraction maxima, by angle, 10° ≤ 2θ ≤ 90°:
2θ/deg, I/Imax
11.0, 45
17.8, 32
30.1, 66
31.3, 59
32.9, 64
33.4, 23
35.2, 100
41.9, 28
55.2, 27
56.7, 22

Structural model:
a = 9.463 Å, b = 8.574 Å, c = 5.806 Å
α = 79.78°, β = 63.08°, γ = 37.14°
Element x y z (fractional)
Y (0.000, 0.000, 0.000)
Y (0.190, 0.529, 0.471)
Y (0.471, 0.810, 0.190)
Y (0.529, 0.190, 0.810)
Y (0.810, 0.471, 0.529)
Si (0.500, 0.500, 0.500)
Bi (0.188, 0.188, 0.812)
Bi (0.812, 0.812, 0.188)

---

Entry 2:
Y7Bi2Pt2: simulated PXRD pattern (Cu Kα X-rays), based on a PBE-relaxed structure.

Largest 10 diffraction maxima, by angle, 10° ≤ 2θ ≤ 90°:
2θ/deg, I/Imax
21.2, 48
22.2, 21
24.2, 21
29.4, 22
32.0, 33
33.1, 100
33.5, 30
37.3, 41
38.4, 23
45.7, 24

Structural model:
a = 9.607 Å, b = 9.607 Å, c = 9.607 Å
α = 156.15°, β = 67.09°, γ = 118.34°
Element x y z (fractional)
Y (0.000, 0.000, 0.000)
Y (0.059, 0.373, 0.687)
Y (0.078, 0.724, 0.354)
Y (0.370, 0.724, 0.646)
Y (0.454, 0.579, 0.874)
Y (0.686, 0.373, 0.313)
Y (0.705, 0.579, 0.126)
Bi (0.331, 0.331, 0.000)
Bi (0.743, 0.243, 0.500)
Pt (0.310, 0.070, 0.240)
Pt (0.830, 0.070, 0.760)

---

Entry 3:
Y2Tm7: simulated PXRD pattern (Cu Kα X-rays), based on a PBE-relaxed structure.

Largest 10 diffraction maxima, by angle, 10° ≤ 2θ ≤ 90°:
2θ/deg, I/Imax
31.6, 96
32.5, 100
33.4, 24
38.5, 15
46.0, 28
55.0, 19
57.4, 24
58.0, 14
62.6, 35
81.6, 12

Structural model:
a = 9.542 Å, b = 9.542 Å, c = 3.522 Å
α = 90.00°, β = 90.00°, γ = 120.00°
Element x y z (fractional)
Y (0.333, 0.667, 0.000)
Y (0.667, 0.333, 0.000)
Tm (0.000, 0.000, 0.500)
Tm (0.000, 0.304, 0.000)
Tm (0.000, 0.640, 0.500)
Tm (0.304, 0.000, 0.000)
Tm (0.360, 0.360, 0.500)
Tm (0.640, 0.000, 0.500)
Tm (0.696, 0.696, 0.000)

---

Entry 4:
Pu2Zn15In2: simulated PXRD pattern (Cu Kα X-rays), based on a PBE-relaxed structure.

Largest 10 diffraction maxima, by angle, 10° ≤ 2θ ≤ 90°:
2θ/deg, I/Imax
19.2, 23
27.8, 34
33.6, 62
35.0, 32
39.0, 67
39.4, 100
40.2, 29
40.5, 28
70.7, 23
72.9, 25

Structural model:
a = 6.948 Å, b = 6.948 Å, c = 6.948 Å
α = 83.29°, β = 83.29°, γ = 83.29°
Element x y z (fractional)
Pu (0.159, 0.159, 0.159)
Pu (0.841, 0.841, 0.841)
Zn (0.000, 0.500, 0.500)
Zn (0.146, 0.146, 0.671)
Zn (0.146, 0.671, 0.146)
Zn (0.190, 0.500, 0.810)
Zn (0.190, 0.810, 0.500)
Zn (0.329, 0.854, 0.854)
Zn (0.500, 0.000, 0.500)
Zn (0.500, 0.190, 0.810)
Zn (0.500, 0.500, 0.000)
Zn (0.500, 0.810, 0.190)
Zn (0.671, 0.146, 0.146)
Zn (0.810, 0.190, 0.500)
Zn (0.810, 0.500, 0.190)
Zn (0.854, 0.329, 0.854)
Zn (0.854, 0.854, 0.329)
In (0.395, 0.395, 0.395)
In (0.605, 0.605, 0.605)

---

Entry 5:
TbNd4Sb4: simulated PXRD pattern (Cu Kα X-rays), based on a PBE-relaxed structure.

Largest 10 diffraction maxima, by angle, 10° ≤ 2θ ≤ 90°:
2θ/deg, I/Imax
23.6, 87
28.4, 26
29.0, 27
31.3, 100
36.7, 44
39.6, 42
42.5, 35
43.1, 19
44.8, 36
63.5, 19

Structural model:
a = 7.599 Å, b = 7.599 Å, c = 7.599 Å
α = 115.64°, β = 115.64°, γ = 97.74°
Element x y z (fractional)
Tb (0.000, 0.000, 0.000)
Nd (0.000, 0.500, 0.500)
Nd (0.328, 0.328, 0.000)
Nd (0.500, 0.000, 0.500)
Nd (0.672, 0.672, 0.000)
Sb (0.092, 0.625, 0.000)
Sb (0.375, 0.375, 0.467)
Sb (0.625, 0.092, 0.000)
Sb (0.908, 0.908, 0.533)

---

Entry 6:
SrNb2Cu: simulated PXRD pattern (Cu Kα X-rays), based on a PBE-relaxed structure.

Largest 10 diffraction maxima, by angle, 10° ≤ 2θ ≤ 90°:
2θ/deg, I/Imax
19.0, 70
23.1, 75
27.8, 98
29.7, 40
37.3, 76
38.5, 100
41.9, 32
47.2, 33
57.4, 60
61.6, 34

Structural model:
a = 10.221 Å, b = 10.221 Å, c = 10.221 Å
α = 152.74°, β = 152.74°, γ = 38.94°
Element x y z (fractional)
Sr (0.375, 0.625, 0.750)
Sr (0.625, 0.375, 0.250)
Nb (0.000, 0.000, 0.000)
Nb (0.000, 0.000, 0.500)
Nb (0.000, 0.500, 0.000)
Nb (0.500, 0.000, 0.500)
Cu (0.125, 0.875, 0.250)
Cu (0.875, 0.125, 0.750)

---

Entry 7:
LiCr2S4: simulated PXRD pattern (Cu Kα X-rays), based on a PBE-relaxed structure.

Largest 10 diffraction maxima, by angle, 10° ≤ 2θ ≤ 90°:
2θ/deg, I/Imax
13.9, 100
35.8, 41
36.1, 22
43.3, 26
44.8, 13
44.9, 11
52.2, 8
56.3, 12
58.0, 9
60.3, 6

Structural model:
a = 6.934 Å, b = 6.934 Å, c = 5.597 Å
α = 109.58°, β = 109.58°, γ = 25.59°
Element x y z (fractional)
Li (0.000, 0.000, 0.000)
Cr (0.255, 0.255, 0.306)
Cr (0.745, 0.745, 0.694)
S (0.125, 0.125, 0.468)
S (0.347, 0.347, 0.007)
S (0.653, 0.653, 0.993)
S (0.875, 0.875, 0.532)

---

Entry 8:
Cs3B12H12I: simulated PXRD pattern (Cu Kα X-rays), based on a PBE-relaxed structure.

Largest 10 diffraction maxima, by angle, 10° ≤ 2θ ≤ 90°:
2θ/deg, I/Imax
11.9, 45
20.3, 46
24.0, 100
26.2, 38
27.5, 37
33.1, 41
35.2, 35
35.3, 22
41.3, 19
54.0, 23

Structural model:
a = 7.442 Å, b = 7.442 Å, c = 7.442 Å
α = 93.17°, β = 93.17°, γ = 93.17°
Element x y z (fractional)
Cs (0.000, 0.500, 0.500)
Cs (0.500, 0.000, 0.500)
Cs (0.500, 0.500, 0.000)
B (0.056, 0.056, 0.221)
B (0.056, 0.221, 0.056)
B (0.115, 0.115, 0.849)
B (0.115, 0.849, 0.115)
B (0.151, 0.885, 0.885)
B (0.221, 0.056, 0.056)
B (0.779, 0.944, 0.944)
B (0.849, 0.115, 0.115)
B (0.885, 0.151, 0.885)
B (0.885, 0.885, 0.151)
B (0.944, 0.779, 0.944)
B (0.944, 0.944, 0.779)
H (0.095, 0.095, 0.378)
H (0.095, 0.378, 0.095)
H (0.198, 0.198, 0.741)
H (0.198, 0.741, 0.198)
H (0.259, 0.802, 0.802)
H (0.378, 0.095, 0.095)
H (0.622, 0.905, 0.905)
H (0.741, 0.198, 0.198)
H (0.802, 0.259, 0.802)
H (0.802, 0.802, 0.259)
H (0.905, 0.622, 0.905)
H (0.905, 0.905, 0.622)
I (0.500, 0.500, 0.500)

---

Entry 9:
La12Mn3Al4Se28: simulated PXRD pattern (Cu Kα X-rays), based on a PBE-relaxed structure.

Largest 10 diffraction maxima, by angle, 10° ≤ 2θ ≤ 90°:
2θ/deg, I/Imax
16.9, 49
23.8, 52
29.3, 100
29.5, 46
32.4, 65
32.4, 65
32.6, 45
33.8, 50
34.1, 56
34.2, 53

Structural model:
a = 10.589 Å, b = 12.387 Å, c = 12.417 Å
α = 95.87°, β = 115.22°, γ = 115.28°
Element x y z (fractional)
La (0.000, 0.000, 0.000)
La (0.002, 0.629, 0.860)
La (0.163, 0.242, 0.758)
La (0.180, 0.884, 0.637)
La (0.220, 0.694, 0.297)
La (0.448, 0.666, 0.819)
La (0.508, 0.497, 0.497)
La (0.521, 0.140, 0.369)
La (0.654, 0.734, 0.256)
La (0.659, 0.365, 0.108)
La (0.717, 0.197, 0.802)
La (0.960, 0.187, 0.325)
Mn (0.108, 0.962, 0.330)
Mn (0.365, 0.213, 0.591)
Mn (0.842, 0.694, 0.066)
Al (0.166, 0.353, 0.057)
Al (0.422, 0.932, 0.981)
Al (0.669, 0.852, 0.563)
Al (0.916, 0.440, 0.474)
Se (0.004, 0.443, 0.325)
Se (0.058, 0.046, 0.509)
Se (0.064, 0.400, 0.865)
Se (0.103, 0.622, 0.662)
Se (0.155, 0.905, 0.868)
Se (0.177, 0.887, 0.171)
Se (0.250, 0.192, 0.326)
Se (0.285, 0.235, 0.028)
Se (0.306, 0.389, 0.614)
Se (0.353, 0.534, 0.246)
Se (0.369, 0.738, 0.023)
Se (0.402, 0.022, 0.536)
Se (0.429, 0.702, 0.561)
Se (0.440, 0.195, 0.820)
Se (0.517, 0.931, 0.835)
Se (0.548, 0.542, 0.014)
Se (0.569, 0.900, 0.372)
Se (0.606, 0.120, 0.164)
Se (0.650, 0.411, 0.350)
Se (0.656, 0.360, 0.642)
Se (0.764, 0.714, 0.845)
Se (0.795, 0.738, 0.535)
Se (0.823, 0.912, 0.147)
Se (0.855, 0.041, 0.745)
Se (0.880, 0.249, 0.524)
Se (0.909, 0.518, 0.037)
Se (0.930, 0.210, 0.063)
Se (0.977, 0.738, 0.336)

---

Entry 10:
HoZnBi2O6: simulated PXRD pattern (Cu Kα X-rays), based on a PBE-relaxed structure.

Largest 10 diffraction maxima, by angle, 10° ≤ 2θ ≤ 90°:
2θ/deg, I/Imax
21.1, 21
25.0, 14
27.9, 17
29.7, 100
32.0, 24
32.2, 15
42.0, 14
42.9, 13
53.8, 13
55.6, 20

Structural model:
a = 8.597 Å, b = 6.399 Å, c = 5.600 Å
α = 90.00°, β = 90.00°, γ = 90.00°
Element x y z (fractional)
Ho (0.000, 0.167, 0.000)
Ho (0.500, 0.833, 0.500)
Zn (0.000, 0.912, 0.489)
Zn (0.500, 0.088, 0.989)
Bi (0.242, 0.719, 0.965)
Bi (0.258, 0.281, 0.465)
Bi (0.742, 0.281, 0.465)
Bi (0.758, 0.719, 0.965)
O (0.000, 0.244, 0.610)
O (0.000, 0.822, 0.818)
O (0.168, 0.973, 0.256)
O (0.179, 0.401, 0.108)
O (0.321, 0.599, 0.608)
O (0.332, 0.027, 0.756)
O (0.500, 0.178, 0.318)
O (0.500, 0.756, 0.110)
O (0.668, 0.027, 0.756)
O (0.679, 0.599, 0.608)
O (0.821, 0.401, 0.108)
O (0.832, 0.973, 0.256)

---

Entry 11:
V2Ge2Pd: simulated PXRD pattern (Cu Kα X-rays), based on a PBE-relaxed structure.

Largest 10 diffraction maxima, by angle, 10° ≤ 2θ ≤ 90°:
2θ/deg, I/Imax
34.2, 46
38.4, 100
41.0, 88
42.8, 94
44.0, 19
50.8, 22
61.7, 16
63.1, 24
73.8, 31
81.4, 30

Structural model:
a = 7.414 Å, b = 7.414 Å, c = 2.738 Å
α = 90.00°, β = 90.00°, γ = 90.00°
Element x y z (fractional)
V (0.116, 0.384, 0.000)
V (0.384, 0.884, 0.000)
V (0.616, 0.116, 0.000)
V (0.884, 0.616, 0.000)
Ge (0.181, 0.681, 0.500)
Ge (0.319, 0.181, 0.500)
Ge (0.681, 0.819, 0.500)
Ge (0.819, 0.319, 0.500)
Pd (0.000, 0.000, 0.000)
Pd (0.500, 0.500, 0.000)

---

Entry 12:
Ac2PmSb3Pd6: simulated PXRD pattern (Cu Kα X-rays), based on a PBE-relaxed structure.

Largest 10 diffraction maxima, by angle, 10° ≤ 2θ ≤ 90°:
2θ/deg, I/Imax
10.5, 38
25.7, 100
28.6, 53
29.1, 46
32.9, 55
35.9, 54
40.9, 97
42.9, 69
43.4, 44
60.8, 49

Structural model:
a = 4.410 Å, b = 4.410 Å, c = 16.809 Å
α = 90.00°, β = 90.00°, γ = 90.00°
Element x y z (fractional)
Ac (0.000, 0.000, 0.200)
Ac (0.000, 0.000, 0.800)
Pm (0.000, 0.000, 0.500)
Sb (0.500, 0.500, 0.000)
Sb (0.500, 0.500, 0.301)
Sb (0.500, 0.500, 0.699)
Pd (0.000, 0.500, 0.386)
Pd (0.000, 0.500, 0.614)
Pd (0.500, 0.000, 0.386)
Pd (0.500, 0.000, 0.614)
Pd (0.500, 0.500, 0.148)
Pd (0.500, 0.500, 0.852)